# 1
DySc3O: theoretical X-ray diffraction stick pattern (Cu Kα (λ = 1.5418 Å)), based on the GGA-PBE geometry in Alexandria.

Peak list (10 most intense, 15° ≤ 2θ ≤ 90°, in order of rising 2θ)
2θ (°)  I_rel
17.57  36
22.07  37
22.46  39
28.27  24
32.94  50
33.28  66
34.02  100
34.58  75
35.57  25
49.72  28

Crystal structure
Lattice parameters (Å, degrees): 6.2954 5.1885 6.5677 90.00 103.53 90.00
Space group P2_1 (No. 4)
Symmetry-distinct sites (fractional):
Dy1 0.1465 0.0000 0.1709 [2 per cell]
Sc1 0.1692 0.0174 0.6721 [2 per cell]
Sc2 0.3795 0.5122 0.4769 [2 per cell]
Sc3 0.3923 0.4983 0.9774 [2 per cell]
O1 0.4964 0.2523 0.7469 [2 per cell]

=====

# 2
In2Ag6Hg3: theoretical X-ray diffraction stick pattern (Cu Kα (λ = 1.5418 Å)), based on the GGA-PBE geometry in Alexandria.

Peak list (10 most intense, 15° ≤ 2θ ≤ 90°, in order of rising 2θ)
2θ (°)  I_rel
27.55  26
32.38  22
32.66  31
36.23  91
37.14  31
37.55  44
37.75  68
38.12  46
38.57  31
39.40  100

Crystal structure
Lattice parameters (Å, degrees): 5.7513 5.8674 7.2873 96.32 100.13 104.02
Space group P-1 (No. 2)
Symmetry-distinct sites (fractional):
In1 0.1118 0.0635 0.3225 [2 per cell]
Ag1 0.2884 0.2290 0.9821 [2 per cell]
Ag2 0.3922 0.9125 0.6643 [2 per cell]
Ag3 0.4929 0.4264 0.6751 [2 per cell]
Hg1 0.0000 0.5000 0.5000 [1 per cell]
Hg2 0.2032 0.7084 0.0033 [2 per cell]

=====

# 3
Tb6HoSc12: theoretical X-ray diffraction stick pattern (Cu Kα (λ = 1.5418 Å)), based on the GGA-PBE geometry in Alexandria.

Peak list (10 most intense, 15° ≤ 2θ ≤ 90°, in order of rising 2θ)
2θ (°)  I_rel
17.19  49
22.15  50
27.94  100
30.12  57
32.99  43
34.78  78
35.94  54
36.41  32
38.70  33
46.13  38

Crystal structure
Lattice parameters (Å, degrees): 12.7726 12.7726 11.6622 90.00 90.00 120.00
Space group R-3m (No. 166, hexagonal axes)
Symmetry-distinct sites (fractional):
Tb1 0.0133 0.5067 0.2278 [18 per cell]
Ho1 0.0000 0.0000 0.5000 [3 per cell]
Sc1 0.0000 0.3855 0.0000 [18 per cell]
Sc2 0.0966 0.1933 0.8585 [18 per cell]

=====

# 4
TbDy6Er2Tm: theoretical X-ray diffraction stick pattern (Cu Kα (λ = 1.5418 Å)), based on the GGA-PBE geometry in Alexandria.

Peak list (10 most intense, 15° ≤ 2θ ≤ 90°, in order of rising 2θ)
2θ (°)  I_rel
28.42  17
28.88  38
30.98  100
31.64  44
31.77  61
31.95  35
32.69  20
34.26  45
34.98  14
60.14  14

Crystal structure
Lattice parameters (Å, degrees): 8.9890 14.9118 9.4644 90.00 97.41 90.00
Space group C2/c (No. 15)
Symmetry-distinct sites (fractional):
Tb1 0.0000 0.0240 0.2500 [4 per cell]
Dy1 0.0619 0.1855 0.9444 [8 per cell]
Dy2 0.1019 0.3927 0.1195 [8 per cell]
Dy3 0.2078 0.2244 0.3150 [8 per cell]
Er1 0.2490 0.4476 0.4550 [8 per cell]
Tm1 0.0000 0.4094 0.7500 [4 per cell]

=====

# 5
Na2NpMn2S6: theoretical X-ray diffraction stick pattern (Cu Kα (λ = 1.5418 Å)), based on the GGA-PBE geometry in Alexandria.

Peak list (10 most intense, 15° ≤ 2θ ≤ 90°, in order of rising 2θ)
2θ (°)  I_rel
16.61  58
18.11  25
20.91  37
27.96  22
28.64  32
32.64  56
33.45  100
42.27  27
45.52  55
49.30  36

Crystal structure
Lattice parameters (Å, degrees): 6.4500 10.8622 7.1764 90.00 108.15 90.00
Space group C2/m (No. 12)
Symmetry-distinct sites (fractional):
Na1 0.0000 0.1640 0.0000 [4 per cell]
Np1 0.0000 0.0000 0.5000 [2 per cell]
Mn1 0.0000 0.3322 0.5000 [4 per cell]
S1 0.2132 0.5000 0.7004 [4 per cell]
S2 0.2320 0.1779 0.7108 [8 per cell]